For Na4ZnSi2GeSO12, a structure optimized by DFT (PBE) gives the computed powder diffraction line list in this record (Cu Kα X-rays).
No peak broadening, texture or thermal motion is included.

Most intense lines, 2θ = 10–90°, by angle:
| 2θ (°) | d (Å) | I/Imax |
| --- | --- | --- |
| 19.5 | 4.556 | 33 |
| 19.9 | 4.470 | 100 |
| 22.9 | 3.886 | 46 |
| 27.6 | 3.232 | 30 |
| 30.7 | 2.911 | 42 |
| 31.0 | 2.883 | 64 |
| 31.3 | 2.861 | 57 |
| 32.1 | 2.789 | 59 |
| 34.1 | 2.627 | 65 |
| 34.9 | 2.568 | 33 |
| 46.8 | 1.941 | 22 |
| 48.3 | 1.883 | 23 |

Cell lengths 8.9349, 8.9349, 9.1115 Å; angles 120.39, 120.39, 61.76 degrees
Atoms (fractional coordinates):
Na1 0.0597 0.9403 0.5000
Na2 0.2164 0.4511 0.6502
Na3 0.3215 0.8082 0.8828
Na4 0.4511 0.2164 0.1502
Na5 0.5559 0.7008 0.2682
Na6 0.7008 0.5559 0.7682
Na7 0.8082 0.3215 0.3828
Na8 0.9403 0.0597 0.0000
Zn1 0.1720 0.6750 0.0403
Zn2 0.6750 0.1720 0.5403
Si1 0.3631 0.5816 0.4256
Si2 0.5816 0.3631 0.9256
Si3 0.7806 0.8742 0.1355
Si4 0.8742 0.7806 0.6355
Ge1 0.5142 0.9419 0.7514
Ge2 0.9419 0.5142 0.2514
S1 0.0791 0.2777 0.8475
S2 0.2777 0.0791 0.3475
O1 0.0489 0.3054 0.0079
O2 0.0565 0.7453 0.8047
O3 0.1094 0.2356 0.3286
O4 0.1144 0.4339 0.8695
O5 0.1678 0.5547 0.3930
O6 0.2356 0.1094 0.8286
O7 0.2519 0.9212 0.1763
O8 0.3054 0.0489 0.5079
O9 0.3439 0.6035 0.2536
O10 0.3735 0.7758 0.6156
O11 0.4173 0.5444 0.9659
O12 0.4339 0.1144 0.3695
O13 0.5444 0.4173 0.4659
O14 0.5547 0.1678 0.8930
O15 0.5892 0.8814 0.9493
O16 0.6035 0.3439 0.7536
O17 0.6868 0.7969 0.6523
O18 0.7453 0.0565 0.3047
O19 0.7758 0.3735 0.1156
O20 0.7969 0.6868 0.1523
O21 0.8490 0.9526 0.6054
O22 0.8814 0.5892 0.4493
O23 0.9212 0.2519 0.6763
O24 0.9526 0.8490 0.1054